[1]
Theoretical powder X-ray diffraction pattern of Tl2WO4 for Cu Ka, from a GGA+U-relaxed structure.
No peak broadening, texture or thermal motion is included.

Principal peaks in the range 10° ≤ 2θ ≤ 90°, by angle:
2θ = 26.44°, 3.371 Å, I 100
2θ = 27.70°, 3.220 Å, I 97
2θ = 38.67°, 2.329 Å, I 43
2θ = 45.87°, 1.978 Å, I 23
2θ = 48.23°, 1.887 Å, I 39
2θ = 49.00°, 1.859 Å, I 21
2θ = 54.43°, 1.686 Å, I 14
2θ = 57.22°, 1.610 Å, I 16
2θ = 62.16°, 1.493 Å, I 19
2θ = 64.10°, 1.453 Å, I 18

Structure:
```
Tl2WO4
1.0
6.4401 0.0000 0.0000
-3.2200 5.5773 0.0000
0.0000 0.0000 8.4638
Tl W O
4 2 8
Direct
0.0000 0.0000 0.0000
0.0000 0.0000 0.5000
0.3333 0.6667 0.3137
0.6667 0.3333 0.6863
0.3333 0.6667 0.8127
0.6667 0.3333 0.1873
0.1800 0.3600 0.7393
0.1800 0.8200 0.7393
0.3333 0.6667 0.0280
0.3600 0.1800 0.2607
0.6400 0.8200 0.7393
0.6667 0.3333 0.9720
0.8200 0.1800 0.2607
0.8200 0.6400 0.2607
```

***

[2]
Theoretical powder X-ray diffraction pattern of Li5Mn8B8O24 for Cu Ka, from a GGA+U-relaxed structure.
No peak broadening, texture or thermal motion is included.

Principal peaks in the range 10° ≤ 2θ ≤ 90°, by angle:
2θ = 19.33°, 4.591 Å, I 26
2θ = 19.64°, 4.521 Å, I 53
2θ = 21.19°, 4.193 Å, I 29
2θ = 21.28°, 4.175 Å, I 41
2θ = 21.55°, 4.124 Å, I 15
2θ = 25.46°, 3.498 Å, I 22
2θ = 25.74°, 3.461 Å, I 20
2θ = 34.20°, 2.622 Å, I 100
2θ = 37.60°, 2.392 Å, I 19
2θ = 47.83°, 1.902 Å, I 15

Structure:
```
Li5Mn8B8O24
1.0
5.2555 0.0000 0.0000
0.1783 9.1717 0.0000
0.2565 0.0610 10.4808
Li Mn B O
5 8 8 24
Direct
0.0000 0.0000 0.0000
0.0544 0.9871 0.5021
0.3710 0.4267 0.3980
0.5151 0.4863 0.0130
0.8684 0.8320 0.7650
0.0059 0.6669 0.0439
0.3526 0.6943 0.2851
0.3560 0.0114 0.7817
0.5319 0.1544 0.0433
0.5515 0.8168 0.5377
0.8769 0.5043 0.7968
0.8898 0.1687 0.2840
0.9707 0.3273 0.5445
0.0340 0.3286 0.0405
0.0603 0.6631 0.5420
0.3686 0.6808 0.8083
0.3958 0.9950 0.2907
0.5116 0.1590 0.5341
0.5123 0.8450 0.0453
0.8288 0.1658 0.7954
0.8714 0.5029 0.2992
0.0327 0.6035 0.2413
0.1068 0.6907 0.8398
0.1449 0.0060 0.3205
0.2902 0.6523 0.4702
0.2906 0.3292 0.0509
0.3608 0.9637 0.0045
0.3714 0.2829 0.5239
0.3849 0.7240 0.0985
0.4054 0.0300 0.5795
0.4849 0.7980 0.7440
0.5088 0.5626 0.8427
0.5277 0.1063 0.2260
0.5365 0.8701 0.3286
0.5887 0.1772 0.8577
0.6168 0.5155 0.2921
0.7683 0.8470 0.0320
0.7769 0.1515 0.4982
0.8931 0.4493 0.0007
0.9032 0.1994 0.0748
0.9103 0.2875 0.7272
0.9433 0.7956 0.5650
0.9619 0.5360 0.5949
0.9669 0.0383 0.8045
0.9933 0.3813 0.3597
```

***

[3]
Theoretical powder X-ray diffraction pattern of CaLaTiFeO6 for Cu Ka, from a GGA+U-relaxed structure.
No peak broadening, texture or thermal motion is included.

Principal peaks in the range 10° ≤ 2θ ≤ 90°, by angle:
2θ = 19.57°, 4.537 Å, I 23
2θ = 19.71°, 4.505 Å, I 24
2θ = 32.12°, 2.787 Å, I 24
2θ = 32.36°, 2.767 Å, I 100
2θ = 32.47°, 2.757 Å, I 23
2θ = 38.19°, 2.356 Å, I 22
2θ = 46.32°, 1.960 Å, I 32
2θ = 46.51°, 1.953 Å, I 17
2θ = 57.41°, 1.605 Å, I 16
2θ = 57.86°, 1.594 Å, I 34

Structure:
```
CaLaTiFeO6
1.0
5.5141 0.0000 0.0000
0.0000 5.5740 0.0000
-5.5098 0.0000 7.8110
Ca La Ti Fe O
2 2 2 2 12
Direct
0.0000 0.2091 0.0000
0.0000 0.7909 0.5000
0.5185 0.2822 0.4992
0.5185 0.7178 0.9992
0.7600 0.2493 0.2484
0.7600 0.7507 0.7484
0.2621 0.2500 0.7503
0.2621 0.7500 0.2503
0.9999 0.4602 0.2064
0.9999 0.5398 0.7064
0.0863 0.2289 0.4963
0.0863 0.7711 0.9963
0.4310 0.2675 0.0043
0.4310 0.7325 0.5043
0.5264 0.0346 0.2921
0.5264 0.9654 0.7921
0.5971 0.4689 0.7954
0.5971 0.5311 0.2954
0.9334 0.0294 0.7071
0.9334 0.9706 0.2071
```

***

[4]
Theoretical powder X-ray diffraction pattern of MgMn6O8F4 for Cu Ka, from a GGA+U-relaxed structure.
No peak broadening, texture or thermal motion is included.

Principal peaks in the range 10° ≤ 2θ ≤ 90°, by angle:
2θ = 24.82°, 3.588 Å, I 100
2θ = 25.01°, 3.561 Å, I 67
2θ = 34.66°, 2.588 Å, I 48
2θ = 35.14°, 2.554 Å, I 39
2θ = 39.39°, 2.287 Å, I 21
2θ = 50.05°, 1.822 Å, I 19
2θ = 50.91°, 1.794 Å, I 17
2θ = 51.06°, 1.789 Å, I 35
2θ = 51.27°, 1.782 Å, I 31
2θ = 62.21°, 1.492 Å, I 16

Structure:
```
MgMn6O8F4
1.0
7.1831 0.0000 0.0000
0.0000 2.9846 0.0000
-3.0703 0.0000 10.6821
Mg Mn O F
1 6 8 4
Direct
0.0000 0.0000 0.0000
0.0000 0.5000 0.5000
0.1629 0.0000 0.8000
0.3850 0.5000 0.2093
0.5000 0.0000 0.5000
0.6150 0.5000 0.7907
0.8371 0.0000 0.2000
0.0197 0.5000 0.8668
0.0365 0.0000 0.6181
0.3346 0.5000 0.8002
0.3988 0.0000 0.3211
0.6012 0.0000 0.6789
0.6654 0.5000 0.1998
0.9635 0.0000 0.3819
0.9803 0.5000 0.1332
0.2912 0.0000 0.0713
0.3145 0.5000 0.5130
0.6855 0.5000 0.4870
0.7088 0.0000 0.9287
```

***

[5]
Theoretical powder X-ray diffraction pattern of ZnCrO4 for Cu Ka, from a GGA+U-relaxed structure.
No peak broadening, texture or thermal motion is included.

Principal peaks in the range 10° ≤ 2θ ≤ 90°, by angle:
2θ = 13.18°, 6.720 Å, I 19
2θ = 26.53°, 3.360 Å, I 100
2θ = 26.88°, 3.316 Å, I 26
2θ = 27.88°, 3.200 Å, I 21
2θ = 29.11°, 3.068 Å, I 15
2θ = 32.08°, 2.790 Å, I 15
2θ = 34.59°, 2.593 Å, I 14
2θ = 34.91°, 2.570 Å, I 9
2θ = 40.26°, 2.240 Å, I 20
2θ = 53.13°, 1.724 Å, I 9

Structure:
```
ZnCrO4
1.0
5.0228 -4.6456 0.0000
5.0228 4.6456 0.0000
-1.7020 0.0000 6.6325
Zn Cr O
4 4 16
Direct
0.1822 0.8178 0.0000
0.2032 0.2032 0.3745
0.7968 0.7968 0.6255
0.8178 0.1822 0.0000
0.2572 0.7428 0.5000
0.2732 0.2732 0.9153
0.7268 0.7268 0.0847
0.7428 0.2572 0.5000
0.1135 0.7978 0.6840
0.1430 0.1430 0.0463
0.2022 0.8865 0.3160
0.2031 0.2031 0.6707
0.2157 0.5110 0.9766
0.2207 0.5101 0.3955
0.4890 0.7843 0.0234
0.4899 0.7793 0.6045
0.5101 0.2207 0.3955
0.5110 0.2157 0.9766
0.7793 0.4899 0.6045
0.7843 0.4890 0.0234
0.7969 0.7969 0.3293
0.7978 0.1135 0.6840
0.8570 0.8570 0.9537
0.8865 0.2022 0.3160
```

***

[6]
Theoretical powder X-ray diffraction pattern of Na3Ni2P2C2O14 for Cu Ka, from a GGA+U-relaxed structure.
No peak broadening, texture or thermal motion is included.

Principal peaks in the range 10° ≤ 2θ ≤ 90°, by angle:
2θ = 16.72°, 5.301 Å, I 61
2θ = 17.02°, 5.208 Å, I 55
2θ = 20.11°, 4.417 Å, I 52
2θ = 22.01°, 4.039 Å, I 59
2θ = 26.02°, 3.424 Å, I 80
2θ = 27.47°, 3.247 Å, I 100
2θ = 33.85°, 2.648 Å, I 36
2θ = 34.09°, 2.630 Å, I 39
2θ = 34.38°, 2.608 Å, I 42
2θ = 34.79°, 2.579 Å, I 56

Structure:
```
Na3Ni2P2C2O14
1.0
6.4949 0.0000 0.0000
0.1812 10.2059 0.0000
0.0276 4.9734 9.0408
Na Ni P C O
6 4 4 4 28
Direct
0.0093 0.2544 0.4906
0.0322 0.2490 0.9963
0.4844 0.2538 0.4941
0.5156 0.7462 0.5059
0.9678 0.7510 0.0037
0.9907 0.7456 0.5094
0.2535 0.8477 0.6873
0.2540 0.8455 0.1825
0.7460 0.1545 0.8175
0.7465 0.1523 0.3127
0.2482 0.0702 0.3231
0.2494 0.0725 0.8224
0.7506 0.9275 0.1776
0.7518 0.9298 0.6769
0.2473 0.5773 0.3519
0.2531 0.5795 0.8545
0.7469 0.4205 0.1455
0.7527 0.4227 0.6481
0.0623 0.1734 0.3098
0.0639 0.1765 0.8081
0.2403 0.0379 0.6902
0.2405 0.0328 0.1941
0.2415 0.4399 0.4403
0.2454 0.9239 0.9674
0.2471 0.4427 0.9398
0.2470 0.9203 0.4693
0.2490 0.6352 0.2100
0.2493 0.6792 0.8983
0.2525 0.6781 0.3958
0.2617 0.6382 0.7107
0.4338 0.1655 0.3160
0.4357 0.1713 0.8019
0.5643 0.8287 0.1981
0.5662 0.8345 0.6840
0.7383 0.3618 0.2893
0.7475 0.3219 0.6042
0.7507 0.3208 0.1017
0.7510 0.3648 0.7900
0.7530 0.0797 0.5307
0.7529 0.5573 0.0602
0.7546 0.0761 0.0326
0.7585 0.5601 0.5597
0.7595 0.9672 0.8059
0.7597 0.9621 0.3098
0.9361 0.8235 0.1920
0.9377 0.8266 0.6902
```